The following is a theoretical powder X-ray diffraction pattern of SrPIr. It was derived from DFT lattice parameters and positions (PBE), using Cu Kα (weighted mean of Kα1 and Kα2).
Peak positions follow from Bragg's law for the DFT cell and can differ from measured ones.

Atomic structure:
a = 6.384 Å, b = 6.384 Å, c = 6.384 Å
α = 90.00°, β = 90.00°, γ = 90.00°
Space group P2_13 (No. 198)
Asymmetric unit:
1 Sr 0.119 0.119 0.119 x4
2 P 0.161 0.339 0.661 x4
3 Ir 0.092 0.592 0.908 x4

Top 6 peaks for 2θ from 10° to 90°, by intensity:
2θ = 31.33°, I 100, (2 0 1)
2θ = 34.41°, I 78, (2 1 1)
2θ = 53.73°, I 55, (3 2 1)
2θ = 19.67°, I 26, (1 1 0)
2θ = 24.15°, I 22, (1 1 1)
2θ = 81.14°, I 17, (5 2 0)